No. 1
This entry pairs a crystal structure of Li2ZrSe3 with its computed XRD peak list. Radiation: a wavelength of 1.5418 Å. Structure: a crystal structure in OQMD, relaxed with GGA-PBE.
Lines closer than 0.1° are merged.

Most intense lines, 2θ from 15° to 90°, in order of rising 2θ:
| 2θ/deg | I/Imax |
| --- | --- |
| 17.25 | 488 |
| 25.70 | 430 |
| 29.53 | 958 |
| 31.25 | 776 |
| 32.47 | 428 |
| 35.91 | 1000 |
| 42.91 | 350 |
| 45.96 | 541 |

Crystal structure
Cell lengths 6.717, 6.717, 10.281 Å; angles 90.00, 90.00, 146.76 degrees
Positions (direct):
Li  0.021  0.979  0.750
Li  0.243  0.757  0.250
Li  0.757  0.243  0.750
Li  0.979  0.021  0.250
Zr  0.500  0.500  0.000
Zr  0.500  0.500  0.500
Se  0.138  0.862  0.564
Se  0.138  0.862  0.936
Se  0.407  0.593  0.750
Se  0.593  0.407  0.250
Se  0.862  0.138  0.064
Se  0.862  0.138  0.436

No. 2
This entry pairs a crystal structure of Li2ZrSe3 with its computed XRD peak list. Radiation: a wavelength of 1.5418 Å. Structure: a crystal structure in OQMD, relaxed with GGA-PBE.
Lines closer than 0.1° are merged.

Most intense lines, 2θ from 15° to 90°, in order of rising 2θ:
| 2θ/deg | I/Imax |
| --- | --- |
| 15.01 | 255 |
| 28.62 | 231 |
| 31.53 | 1000 |
| 33.85 | 384 |
| 43.23 | 182 |
| 46.43 | 390 |
| 47.09 | 182 |
| 47.45 | 324 |

Crystal structure
Cell lengths 6.853, 3.860, 9.772 Å; angles 90.00, 96.58, 90.00 degrees
Positions (direct):
Li  0.099  0.250  0.168
Li  0.187  0.750  0.551
Li  0.813  0.250  0.449
Li  0.901  0.750  0.832
Zr  0.379  0.250  0.822
Zr  0.621  0.750  0.178
Se  0.036  0.250  0.681
Se  0.262  0.750  0.999
Se  0.464  0.250  0.319
Se  0.536  0.750  0.681
Se  0.738  0.250  0.001
Se  0.964  0.750  0.319

No. 3
This entry pairs a crystal structure of Li2Tb2Si3 with its computed XRD peak list. Radiation: a wavelength of 1.5418 Å. Structure: a crystal structure in OQMD, relaxed with GGA-PBE.
Lines closer than 0.1° are merged.

Most intense lines, 2θ from 15° to 90°, in order of rising 2θ:
| 2θ/deg | I/Imax |
| --- | --- |
| 21.37 | 465 |
| 23.84 | 502 |
| 26.78 | 370 |
| 32.70 | 220 |
| 34.51 | 652 |
| 35.25 | 1000 |
| 42.30 | 231 |
| 45.56 | 188 |

Crystal structure
Cell lengths 9.263, 9.263, 6.659 Å; angles 90.00, 90.00, 153.32 degrees
Positions (direct):
Li  0.190  0.810  0.561
Li  0.190  0.810  0.939
Li  0.810  0.190  0.061
Li  0.810  0.190  0.439
Tb  0.343  0.657  0.750
Tb  0.448  0.552  0.250
Tb  0.552  0.448  0.750
Tb  0.657  0.343  0.250
Si  0.059  0.941  0.072
Si  0.059  0.941  0.428
Si  0.280  0.720  0.250
Si  0.720  0.280  0.750
Si  0.941  0.059  0.572
Si  0.941  0.059  0.928

No. 4
This entry pairs a crystal structure of LiTbSi2 with its computed XRD peak list. Radiation: a wavelength of 1.5418 Å. Structure: a crystal structure in OQMD, relaxed with GGA-PBE.
Lines closer than 0.1° are merged.

Most intense lines, 2θ from 15° to 90°, in order of rising 2θ:
| 2θ/deg | I/Imax |
| --- | --- |
| 16.47 | 462 |
| 21.26 | 804 |
| 23.16 | 538 |
| 26.83 | 754 |
| 28.15 | 477 |
| 30.50 | 738 |
| 34.75 | 986 |
| 35.87 | 1000 |

Crystal structure
Cell lengths 6.634, 4.111, 10.762 Å; angles 90.00, 90.00, 90.00 degrees
Positions (direct):
Li  0.138  0.250  0.055
Li  0.362  0.750  0.555
Li  0.638  0.250  0.445
Li  0.862  0.750  0.945
Tb  0.148  0.250  0.345
Tb  0.352  0.750  0.845
Tb  0.648  0.250  0.155
Tb  0.852  0.750  0.655
Si  0.029  0.250  0.834
Si  0.176  0.250  0.634
Si  0.324  0.750  0.134
Si  0.471  0.750  0.334
Si  0.529  0.250  0.666
Si  0.676  0.250  0.866
Si  0.824  0.750  0.366
Si  0.971  0.750  0.166

No. 5
This entry pairs a crystal structure of Li3Tb2SmSn3 with its computed XRD peak list. Radiation: a wavelength of 1.5418 Å. Structure: a crystal structure in OQMD, relaxed with GGA-PBE.
Lines closer than 0.1° are merged.

Most intense lines, 2θ from 15° to 90°, in order of rising 2θ:
| 2θ/deg | I/Imax |
| --- | --- |
| 21.73 | 278 |
| 23.20 | 200 |
| 27.16 | 183 |
| 32.78 | 1000 |
| 38.11 | 549 |
| 51.13 | 289 |
| 64.26 | 229 |
| 65.52 | 276 |

Crystal structure
Cell lengths 4.722, 4.722, 11.017 Å; angles 90.00, 90.00, 120.00 degrees
Positions (direct):
Li  0.000  0.000  0.000
Li  0.333  0.667  0.307
Li  0.333  0.667  0.693
Tb  0.667  0.333  0.163
Tb  0.667  0.333  0.837
Sm  0.667  0.333  0.500
Sn  0.000  0.000  0.323
Sn  0.000  0.000  0.677
Sn  0.333  0.667  0.000

No. 6
This entry pairs a crystal structure of LiTa3Sn5 with its computed XRD peak list. Radiation: a wavelength of 1.5418 Å. Structure: a crystal structure in OQMD, relaxed with GGA-PBE.
Lines closer than 0.1° are merged.

Most intense lines, 2θ from 15° to 90°, in order of rising 2θ:
| 2θ/deg | I/Imax |
| --- | --- |
| 17.56 | 514 |
| 30.65 | 293 |
| 35.77 | 415 |
| 37.56 | 1000 |
| 39.06 | 259 |
| 43.12 | 863 |
| 63.83 | 261 |
| 75.37 | 301 |

Crystal structure
Cell lengths 5.833, 5.833, 7.532 Å; angles 90.00, 90.00, 120.00 degrees
Positions (direct):
Li  0.000  0.000  0.000
Ta  0.000  0.500  0.500
Ta  0.500  0.000  0.500
Ta  0.500  0.500  0.500
Sn  0.000  0.000  0.500
Sn  0.333  0.667  0.188
Sn  0.333  0.667  0.812
Sn  0.667  0.333  0.188
Sn  0.667  0.333  0.812